The following is a theoretical X-ray powder pattern of ZnCu2SnSe2S2. It was derived from DFT lattice parameters and positions (PBE), using λ = 1.5418 Å (Cu Kα).

Cell and atoms:
abc: 7.878 7.950 11.243
angles: 90.00 90.00 90.00
Space group Fmm2 (No. 42)
One atom of each set of equivalent atoms:
1 Zn 0.000 0.000 0.000 [4 per cell]
2 Cu 0.250 0.250 0.270 [8 per cell]
3 Sn 0.000 0.000 0.503 [4 per cell]
4 Se 0.000 0.239 0.142 [8 per cell]
5 S 0.243 0.000 0.873 [8 per cell]

Largest 6 diffraction maxima, most intense first, 2θ from 10° to 80°:
(hkl)	2θ (°)	I/Imax
0 2 2	27.48	100.0
2 0 2	27.65	94.9
2 2 4	45.76	87.9
2 0 6	54.18	53.1
4 2 2	54.50	28.4
0 4 0	45.64	22.9



The following is a theoretical X-ray powder pattern of ZnCu2SnSe3S. It was derived from DFT lattice parameters and positions (PBE), using λ = 1.5418 Å (Cu Kα).

Cell and atoms:
abc: 8.010 8.014 6.972
angles: 90.00 125.03 90.00
Space group Cm (No. 8)
One atom of each set of equivalent atoms:
1 Zn 0.000 0.000 0.000 [2 per cell]
2 Cu 0.499 0.258 0.514 [4 per cell]
3 Sn 0.486 0.000 0.001 [2 per cell]
4 Se 0.118 0.500 0.735 [2 per cell]
5 Se 0.131 0.240 0.276 [4 per cell]
6 S 0.104 0.000 0.740 [2 per cell]

Largest 6 diffraction maxima, most intense first, 2θ from 10° to 80°:
(hkl)	2θ (°)	I/Imax
0 2 1	27.19	100.0
2 2 1	45.09	47.5
4 2 -1	53.62	28.6
4 0 -2	45.27	23.9
2 0 2	53.29	14.1
2 4 2	72.46	10.8



The following is a theoretical X-ray powder pattern of ZnCu2SnSe3S. It was derived from DFT lattice parameters and positions (PBE), using λ = 1.5418 Å (Cu Kα).

Cell and atoms:
abc: 5.692 5.694 6.953
angles: 114.01 114.10 90.13
Space group P1 (No. 1)
One atom of each set of equivalent atoms:
1 Zn 0.000 0.000 0.000 [1 per cell]
2 Cu 0.479 0.520 0.997 [1 per cell]
3 Cu 0.760 0.280 0.517 [1 per cell]
4 Sn 0.240 0.759 0.512 [1 per cell]
5 Se 0.384 0.374 0.247 [1 per cell]
6 Se 0.634 0.162 0.769 [1 per cell]
7 Se 0.845 0.895 0.248 [1 per cell]
8 S 0.115 0.626 0.766 [1 per cell]

Largest 6 diffraction maxima, most intense first, 2θ from 10° to 80°:
(hkl)	2θ (°)	I/Imax
1 1 0	27.15	100.0
0 2 -3	45.11	47.7
0 2 1	45.02	23.7
1 3 -3	53.46	21.5
1 -3 0	53.36	17.2
1 -3 4	72.44	9.7



The following is a theoretical X-ray powder pattern of TaCu3TeSe2S. It was derived from DFT lattice parameters and positions (PBE), using λ = 1.5418 Å (Cu Kα).

Cell and atoms:
abc: 8.142 8.159 5.766
angles: 90.00 91.63 90.00
Space group Cm (No. 8)
One atom of each set of equivalent atoms:
1 Ta 0.000 0.000 0.000 [2 per cell]
2 Cu 0.009 0.000 0.501 [2 per cell]
3 Cu 0.251 0.241 0.000 [4 per cell]
4 Te 0.230 0.500 0.728 [2 per cell]
5 Se 0.003 0.246 0.247 [4 per cell]
6 S 0.232 0.000 0.772 [2 per cell]

Largest 6 diffraction maxima, most intense first, 2θ from 10° to 80°:
(hkl)	2θ (°)	I/Imax
1 1 0	15.38	100.0
2 2 -2	43.99	37.3
2 2 2	44.93	33.9
0 2 1	26.77	30.6
1 1 2	35.10	27.4
3 1 0	34.82	22.6



The following is a theoretical X-ray powder pattern of VCu3Se2S2. It was derived from DFT lattice parameters and positions (PBE), using λ = 1.5418 Å (Cu Kα).

Cell and atoms:
abc: 7.712 7.868 5.515
angles: 90.00 90.00 90.00
Space group Cmm2 (No. 35)
One atom of each set of equivalent atoms:
1 V 0.000 0.000 0.000 [2 per cell]
2 Cu 0.000 0.000 0.509 [2 per cell]
3 Cu 0.250 0.250 0.987 [4 per cell]
4 Se 0.250 0.000 0.246 [4 per cell]
5 S 0.000 0.230 0.766 [4 per cell]

Largest 6 diffraction maxima, most intense first, 2θ from 10° to 80°:
(hkl)	2θ (°)	I/Imax
0 0 1	16.08	100.0
2 2 2	46.61	98.8
0 2 1	27.86	74.1
2 0 1	28.24	64.6
2 2 1	36.46	32.9
0 4 0	46.15	25.2



The following is a theoretical X-ray powder pattern of Cu8SiS6. It was derived from DFT lattice parameters and positions (PBE), using λ = 1.5418 Å (Cu Kα).

Cell and atoms:
abc: 7.006 6.892 9.670
angles: 90.00 90.00 90.00
Space group Pmn2_1 (No. 31)
One atom of each set of equivalent atoms:
1 Cu 0.000 0.104 0.000 [2 per cell]
2 Cu 0.000 0.227 0.554 [2 per cell]
3 Cu 0.203 0.025 0.772 [4 per cell]
4 Cu 0.207 0.612 0.177 [4 per cell]
5 Cu 0.209 0.654 0.879 [4 per cell]
6 Si 0.000 0.751 0.521 [2 per cell]
7 S 0.000 0.287 0.787 [2 per cell]
8 S 0.000 0.504 0.386 [2 per cell]
9 S 0.000 0.771 0.031 [2 per cell]
10 S 0.000 0.994 0.388 [2 per cell]
11 S 0.245 0.254 0.140 [4 per cell]

Largest 6 diffraction maxima, most intense first, 2θ from 10° to 80°:
(hkl)	2θ (°)	I/Imax
2 0 2	31.54	100.0
0 1 4	39.50	48.8
2 2 4	53.15	48.0
2 3 1	48.30	44.5
0 2 2	31.89	44.0
0 2 1	27.48	43.5



The following is a theoretical X-ray powder pattern of Tb3CuSiS7. It was derived from DFT lattice parameters and positions (PBE), using λ = 1.5418 Å (Cu Kα).

Cell and atoms:
abc: 9.9449 9.9449 5.7055
angles: 90.00 90.00 120.00
Space group P6_3 (No. 173)
One atom of each set of equivalent atoms:
1 Tb 0.1253 0.3564 0.0000 [6 per cell]
2 Cu 0.0000 0.0000 0.4524 [2 per cell]
3 Si 0.3333 0.6667 0.5885 [2 per cell]
4 S 0.0913 0.2568 0.4753 [6 per cell]
5 S 0.1079 0.5860 0.7385 [6 per cell]
6 S 0.3333 0.6667 0.2186 [2 per cell]

Largest 6 diffraction maxima, most intense first, 2θ from 10° to 80°:
(hkl)	2θ (°)	I/Imax
2 0 1	25.92	100.0
1 3 0	37.66	51.2
1 2 2	42.12	48.5
3 1 1	40.96	47.9
1 1 1	23.74	41.5
2 2 0	36.13	40.6



The following is a theoretical X-ray powder pattern of Y3CuSiS7. It was derived from DFT lattice parameters and positions (PBE), using λ = 1.5418 Å (Cu Kα).

Cell and atoms:
abc: 9.9260 9.9260 5.7073
angles: 90.00 90.00 120.00
Space group P6_3 (No. 173)
One atom of each set of equivalent atoms:
1 Y 0.1281 0.3570 0.0000 [6 per cell]
2 Cu 0.0000 0.0000 0.4595 [2 per cell]
3 Si 0.3333 0.6667 0.5877 [2 per cell]
4 S 0.0934 0.2575 0.4756 [6 per cell]
5 S 0.1071 0.5841 0.7376 [6 per cell]
6 S 0.3333 0.6667 0.2175 [2 per cell]

Largest 6 diffraction maxima, most intense first, 2θ from 10° to 80°:
(hkl)	2θ (°)	I/Imax
2 0 1	25.95	100.0
2 2 0	36.20	85.6
1 3 0	37.73	85.3
1 2 2	42.15	80.7
1 0 2	33.08	70.6
1 0 0	10.29	64.8



The following is a theoretical X-ray powder pattern of SmCuS2. It was derived from DFT lattice parameters and positions (PBE), using λ = 1.5418 Å (Cu Kα).

Cell and atoms:
abc: 6.454 7.127 6.835
angles: 90.00 97.45 90.00
Space group P2_1/c (No. 14)
One atom of each set of equivalent atoms:
1 Sm 0.192 0.049 0.300 [4 per cell]
2 Cu 0.423 0.662 0.450 [4 per cell]
3 S 0.081 0.726 0.498 [4 per cell]
4 S 0.409 0.114 0.721 [4 per cell]

Largest 6 diffraction maxima, most intense first, 2θ from 10° to 80°:
(hkl)	2θ (°)	I/Imax
1 1 1	23.85	100.0
2 1 -1	31.91	69.9
0 2 2	36.59	39.7
1 1 2	33.92	32.6
1 2 -1	30.84	28.8
1 1 -1	21.75	28.4